Structure and computed powder diffractogram of LiNi6Sn6 (a PBE-relaxed structure; Cu Ka).

Structural model:
```
data_LiNi6Sn6
_chemical_formula_sum 'Li1 Ni6 Sn6'
_cell_length_a 5.3700
_cell_length_b 5.3700
_cell_length_c 8.5605
_cell_angle_alpha 90.00
_cell_angle_beta 90.00
_cell_angle_gamma 120.00
_space_group_name_H-M_alt 'P 6/m m m'
_space_group_IT_number 191
_space_group_name_Hall '-P 6 2'
loop_
_atom_site_label
_atom_site_fract_x
_atom_site_fract_y
_atom_site_fract_z
_atom_site_occupancy
Li1 0.0000 0.0000 0.0000 1
Ni1 0.0000 0.5000 0.2486 1
Sn1 0.0000 0.0000 0.3252 1
Sn2 0.3333 0.6667 0.0000 1
Sn3 0.3333 0.6667 0.5000 1
```

Principal peaks in the range 2θ = 10–90°, in order of rising 2θ:
two_theta  intensity  index
28.3  35  1 0 2
33.4  67  1 1 0
39.6  54  1 1 2
42.2  21  0 0 4
44.3  100  2 0 2
46.7  29  1 0 4
70.1  27  2 2 0
75.5  27  1 1 6